No. 1
BeTl2: calculated powder XRD pattern (Cu Kα (weighted mean of Kα1 and Kα2)), based on a PBE-relaxed structure.

Atomic structure:
Cell: 7.939 7.939 5.494 Å, 98.60 98.60 24.33°
Positions (direct):
Be 0.000 0.000 0.000
Be 0.557 0.557 0.245
Tl 0.210 0.210 0.322
Tl 0.602 0.602 0.763
Tl 0.817 0.817 0.875
Tl 0.934 0.934 0.436

Most intense lines, 2θ from 15° to 90°, in order of rising 2θ:
- 2θ 26.3, rel. 66.7
- 2θ 27.3, rel. 25.2
- 2θ 30.5, rel. 100.0
- 2θ 31.5, rel. 55.6
- 2θ 32.0, rel. 71.7
- 2θ 32.4, rel. 75.9
- 2θ 33.0, rel. 40.7
- 2θ 33.3, rel. 44.9
- 2θ 34.8, rel. 27.8
- 2θ 36.5, rel. 36.6
- 2θ 39.9, rel. 34.1
- 2θ 54.9, rel. 33.9



No. 2
KSrAl2: calculated powder XRD pattern (Cu Kα (weighted mean of Kα1 and Kα2)), based on a PBE-relaxed structure.

Atomic structure:
Cell: 6.185 6.185 6.185 Å, 137.33 124.68 72.28°
Positions (direct):
K 0.000 0.000 0.000
Sr 0.309 0.809 0.500
Al 0.586 0.586 0.000
Al 0.712 0.212 0.500

Most intense lines, 2θ from 15° to 90°, in order of rising 2θ:
- 2θ 17.8, rel. 15.0
- 2θ 21.7, rel. 27.3
- 2θ 31.0, rel. 100.0
- 2θ 31.1, rel. 22.9
- 2θ 38.3, rel. 12.3
- 2θ 40.1, rel. 11.2
- 2θ 48.3, rel. 5.6
- 2θ 49.9, rel. 10.7
- 2θ 51.6, rel. 23.7
- 2θ 55.3, rel. 18.0
- 2θ 60.0, rel. 12.1
- 2θ 67.2, rel. 7.0



No. 3
Pm4ErTh2: calculated powder XRD pattern (Cu Kα (weighted mean of Kα1 and Kα2)), based on a PBE-relaxed structure.

Atomic structure:
Cell: 9.278 9.278 9.278 Å, 144.46 144.46 51.14°
Positions (direct):
Pm 0.000 0.500 0.500
Pm 0.188 0.188 0.000
Pm 0.500 0.000 0.500
Pm 0.812 0.812 0.000
Er 0.000 0.000 0.000
Th 0.390 0.390 0.000
Th 0.610 0.610 0.000

Most intense lines, 2θ from 15° to 90°, in order of rising 2θ:
- 2θ 22.2, rel. 57.1
- 2θ 24.6, rel. 15.5
- 2θ 30.9, rel. 39.4
- 2θ 31.0, rel. 100.0
- 2θ 31.6, rel. 92.0
- 2θ 44.9, rel. 73.5
- 2θ 45.3, rel. 34.4
- 2θ 55.9, rel. 34.6
- 2θ 64.7, rel. 18.0
- 2θ 65.7, rel. 24.0
- 2θ 74.7, rel. 19.9
- 2θ 75.0, rel. 15.7



No. 4
CaLaSc2: calculated powder XRD pattern (Cu Kα (weighted mean of Kα1 and Kα2)), based on a PBE-relaxed structure.

Atomic structure:
Cell: 6.026 6.026 6.134 Å, 99.42 99.42 33.72°
Positions (direct):
Ca 0.000 0.000 0.000
La 0.500 0.500 0.500
Sc 0.245 0.245 0.735
Sc 0.755 0.755 0.265

Most intense lines, 2θ from 15° to 90°, in order of rising 2θ:
- 2θ 15.6, rel. 27.8
- 2θ 19.5, rel. 17.5
- 2θ 26.7, rel. 17.1
- 2θ 31.1, rel. 50.8
- 2θ 31.2, rel. 100.0
- 2θ 31.5, rel. 48.9
- 2θ 36.0, rel. 33.2
- 2θ 36.4, rel. 65.7
- 2θ 51.8, rel. 22.2
- 2θ 52.4, rel. 43.4
- 2θ 62.1, rel. 31.5
- 2θ 62.4, rel. 12.5



No. 5
K2InF6: calculated powder XRD pattern (Cu Kα (weighted mean of Kα1 and Kα2)), based on a PBE-relaxed structure.

Atomic structure:
Cell: 5.844 7.797 7.957 Å, 90.00 116.69 90.00°
Positions (direct):
K 0.171 0.072 0.334
K 0.171 0.428 0.834
K 0.829 0.572 0.166
K 0.829 0.928 0.666
In 0.500 0.000 0.000
In 0.500 0.500 0.500
F 0.164 0.110 0.989
F 0.164 0.390 0.489
F 0.321 0.020 0.705
F 0.321 0.480 0.205
F 0.357 0.748 0.965
F 0.357 0.752 0.465
F 0.643 0.248 0.535
F 0.643 0.252 0.035
F 0.679 0.520 0.795
F 0.679 0.980 0.295
F 0.836 0.610 0.511
F 0.836 0.890 0.011

Most intense lines, 2θ from 15° to 90°, in order of rising 2θ:
- 2θ 16.9, rel. 100.0
- 2θ 17.0, rel. 49.9
- 2θ 19.6, rel. 63.4
- 2θ 22.8, rel. 78.2
- 2θ 23.1, rel. 86.6
- 2θ 25.1, rel. 28.7
- 2θ 27.8, rel. 55.1
- 2θ 32.9, rel. 89.0
- 2θ 38.2, rel. 31.7
- 2θ 38.7, rel. 26.6
- 2θ 39.8, rel. 80.3
- 2θ 52.6, rel. 25.4



No. 6
NaGaS2: calculated powder XRD pattern (Cu Kα (weighted mean of Kα1 and Kα2)), based on a PBE-relaxed structure.

Atomic structure:
Cell: 3.667 3.667 7.142 Å, 90.00 90.00 120.00°
Positions (direct):
Na 0.000 0.000 0.000
Ga 0.667 0.333 0.554
S 0.000 0.000 0.378
S 0.333 0.667 0.755

Most intense lines, 2θ from 15° to 90°, in order of rising 2θ:
- 2θ 30.8, rel. 100.0
- 2θ 37.9, rel. 80.3
- 2θ 47.7, rel. 50.4
- 2θ 49.7, rel. 42.5
- 2θ 51.5, rel. 16.8
- 2θ 59.4, rel. 11.8
- 2θ 59.6, rel. 13.9
- 2θ 64.2, rel. 15.8
- 2θ 71.4, rel. 14.2
- 2θ 81.3, rel. 11.0
- 2θ 85.3, rel. 14.2
- 2θ 86.3, rel. 12.4